BaNaSr6: simulated X-ray powder pattern (Cu Kα), based on a structure optimized by DFT (PBE).
Peak positions follow from Bragg's law for the DFT cell and can differ from measured ones.

Peak list (10 most intense, 15° ≤ 2θ ≤ 90°, low angle first)
- 23.5°, I = 27, (2 0 0)
- 26.3°, I = 100, (0 2 1)
- 28.9°, I = 64, (2 1 1)
- 41.3°, I = 10, (2 2 2)
- 43.0°, I = 27, (2 3 0)
- 44.7°, I = 33, (2 1 -3)
- 48.0°, I = 16, (4 0 0)
- 54.1°, I = 10, (4 2 0)
- 55.5°, I = 20, (4 2 1)
- 66.5°, I = 13, (4 2 -3)

Structure:
Cell: 7.5784 7.5799 7.5812 Å, 89.96 89.93 89.88°
Space group P-1 (No. 2)
Asymmetric unit:
Ba 0.0000 0.0000 0.0000
Na 0.5000 0.5000 0.5000
Sr 0.0002 0.2521 0.4997
Sr 0.2521 0.4998 0.0000
Sr 0.4998 0.9995 0.2521